Simulated powder diffraction line list of RbSmGeSe4 for Cu Kα (λ = 1.5418 Å), from a crystal structure in OQMD, relaxed with GGA-PBE.
Neutral-atom scattering factors, no anomalous dispersion.

Main lines, low angle first (15 to 90 degrees two-theta):
d/Å	I (rel.)	index
5.593	47.1	0 1 2
3.209	100.0	1 0 5
3.108	57.5	1 2 1
2.924	72.7	1 1 5
2.797	95.6	0 2 4
2.381	68.0	2 2 2

Cell and atoms:
```
data_RbSmGeSe4
_chemical_formula_sum 'Rb4 Sm4 Ge4 Se16'
_cell_length_a 6.864
_cell_length_b 7.103
_cell_length_c 18.149
_cell_angle_alpha 90.00
_cell_angle_beta 90.00
_cell_angle_gamma 90.00
_symmetry_space_group_name_H-M 'P 21 21 21'
_symmetry_Int_Tables_number 19
loop_
_symmetry_equiv_pos_as_xyz
'x,y,z'
'-x+1/2,-y,z+1/2'
'x+1/2,-y+1/2,-z'
'-x,y+1/2,-z+1/2'
loop_
_atom_site_label
_atom_site_type_symbol
_atom_site_fract_x
_atom_site_fract_y
_atom_site_fract_z
Rb1 Rb 0.010 0.005 0.469
Sm1 Sm 0.207 0.021 0.726
Ge1 Ge 0.209 0.514 0.336
Se1 Se 0.055 0.245 0.858
Se2 Se 0.063 0.013 0.085
Se3 Se 0.096 0.762 0.851
Se4 Se 0.099 0.583 0.215
```


Simulated powder diffraction line list of Re4Ge7 for Cu Kα (λ = 1.5418 Å), from a crystal structure in OQMD, relaxed with GGA-PBE.
Neutral-atom scattering factors, no anomalous dispersion.

Main lines, low angle first (15 to 90 degrees two-theta):
d/Å	I (rel.)	index
3.728	48.5	1 0 4
2.989	24.1	2 0 0
2.332	100.0	2 1 4
2.113	34.7	2 2 0
2.077	56.3	1 1 8
1.838	42.2	3 0 4

Cell and atoms:
```
data_Re4Ge7
_chemical_formula_sum 'Re16 Ge28'
_cell_length_a 5.977
_cell_length_b 5.977
_cell_length_c 19.076
_cell_angle_alpha 90.00
_cell_angle_beta 90.00
_cell_angle_gamma 90.00
_symmetry_space_group_name_H-M 'P -4 c 2'
_symmetry_Int_Tables_number 116
loop_
_symmetry_equiv_pos_as_xyz
'x,y,z'
'y,-x,-z'
'-x,-y,z'
'-y,x,-z'
'-x,y,z+1/2'
'-y,-x,-z+1/2'
'x,-y,z+1/2'
'y,x,-z+1/2'
loop_
_atom_site_label
_atom_site_type_symbol
_atom_site_fract_x
_atom_site_fract_y
_atom_site_fract_z
Re1 Re 0.000 0.000 0.000
Re2 Re 0.000 0.000 0.250
Re3 Re 0.000 0.500 0.064
Re4 Re 0.000 0.500 0.306
Re5 Re 0.500 0.500 0.130
Ge1 Ge 0.148 0.204 0.388
Ge2 Ge 0.152 0.323 0.682
Ge3 Ge 0.235 0.348 0.963
Ge4 Ge 0.339 0.339 0.250
```


Simulated powder diffraction line list of Zr2Ge2SbS for Cu Kα (λ = 1.5418 Å), from a crystal structure in OQMD, relaxed with GGA-PBE.
Neutral-atom scattering factors, no anomalous dispersion.

Main lines, low angle first (15 to 90 degrees two-theta):
d/Å	I (rel.)	index
3.509	36.5	1 0 1
2.713	40.8	0 0 3
2.606	100.0	1 1 1
2.279	95.4	1 1 2
2.225	62.7	1 0 3
1.945	61.6	2 0 0

Cell and atoms:
```
data_Zr2Ge2SbS
_chemical_formula_sum 'Zr2 Ge2 Sb1 S1'
_cell_length_a 3.890
_cell_length_b 3.890
_cell_length_c 8.138
_cell_angle_alpha 90.00
_cell_angle_beta 90.00
_cell_angle_gamma 90.00
_symmetry_space_group_name_H-M 'P -4 m 2'
_symmetry_Int_Tables_number 115
loop_
_symmetry_equiv_pos_as_xyz
'x,y,z'
'y,-x,-z'
'-x,-y,z'
'-y,x,-z'
'-x,y,z'
'-y,-x,-z'
'x,-y,z'
'y,x,-z'
loop_
_atom_site_label
_atom_site_type_symbol
_atom_site_fract_x
_atom_site_fract_y
_atom_site_fract_z
Zr1 Zr 0.000 0.500 0.227
Ge1 Ge 0.000 0.500 0.872
Sb1 Sb 0.500 0.500 0.500
S1 S 0.000 0.000 0.500
```


Simulated powder diffraction line list of Zr2Ge2SeS for Cu Kα (λ = 1.5418 Å), from a crystal structure in OQMD, relaxed with GGA-PBE.
Neutral-atom scattering factors, no anomalous dispersion.

Main lines, low angle first (15 to 90 degrees two-theta):
d/Å	I (rel.)	index
2.764	50.1	1 0 2
2.572	83.5	1 1 1
2.244	87.3	1 1 2
2.183	100.0	1 0 3
1.922	69.0	2 0 0
1.442	51.5	2 1 3

Cell and atoms:
```
data_Zr2Ge2SeS
_chemical_formula_sum 'Zr2 Ge2 Se1 S1'
_cell_length_a 3.843
_cell_length_b 3.843
_cell_length_c 7.956
_cell_angle_alpha 90.00
_cell_angle_beta 90.00
_cell_angle_gamma 90.00
_symmetry_space_group_name_H-M 'P -4 m 2'
_symmetry_Int_Tables_number 115
loop_
_symmetry_equiv_pos_as_xyz
'x,y,z'
'y,-x,-z'
'-x,-y,z'
'-y,x,-z'
'-x,y,z'
'-y,-x,-z'
'x,-y,z'
'y,x,-z'
loop_
_atom_site_label
_atom_site_type_symbol
_atom_site_fract_x
_atom_site_fract_y
_atom_site_fract_z
Zr1 Zr 0.000 0.500 0.250
Ge1 Ge 0.000 0.500 0.616
Se1 Se 0.500 0.500 0.000
S1 S 0.000 0.000 0.000
```


Simulated powder diffraction line list of Sm4Ge3S12 for Cu Kα (λ = 1.5418 Å), from a crystal structure in OQMD, relaxed with GGA-PBE.
Neutral-atom scattering factors, no anomalous dispersion.

Main lines, low angle first (15 to 90 degrees two-theta):
d/Å	I (rel.)	index
4.944	29.6	2 1 1
3.656	100.0	4 1 0
3.355	43.8	1 2 2
2.757	40.2	2 3 2
2.557	26.4	5 0 2
2.418	28.3	4 4 0

Cell and atoms:
```
data_Sm4Ge3S12
_chemical_formula_sum 'Sm24 Ge18 S72'
_cell_length_a 19.3463
_cell_length_b 19.3463
_cell_length_c 7.9106
_cell_angle_alpha 90.00
_cell_angle_beta 90.00
_cell_angle_gamma 120.00
_symmetry_space_group_name_H-M 'R 3 c'
_symmetry_Int_Tables_number 161
_symmetry_space_group_name_Hall 'R 3 -2"c'
loop_
_atom_site_label
_atom_site_type_symbol
_atom_site_fract_x
_atom_site_fract_y
_atom_site_fract_z
Sm1 Sm 0.0000 0.0000 0.0000
Sm2 Sm 0.0067 0.2349 0.2159
Ge1 Ge 0.1466 0.4680 0.3292
S1 S 0.0631 0.3914 0.5327
S2 S 0.0893 0.2023 0.5033
S3 S 0.1230 0.0584 0.2498
S4 S 0.1518 0.3785 0.1618
```


Simulated powder diffraction line list of TaTlGeS5 for Cu Kα (λ = 1.5418 Å), from a crystal structure in OQMD, relaxed with GGA-PBE.
Neutral-atom scattering factors, no anomalous dispersion.

Main lines, low angle first (15 to 90 degrees two-theta):
d/Å	I (rel.)	index
4.538	60.2	1 0 -1
3.999	31.1	1 1 2
3.975	35.5	1 -1 1
3.365	52.2	2 0 1
3.264	100.0	0 2 1
2.818	56.4	0 0 3

Cell and atoms:
```
data_TaTlGeS5
_chemical_formula_sum 'Ta2 Tl2 Ge2 S10'
_cell_length_a 6.993
_cell_length_b 6.996
_cell_length_c 9.013
_cell_angle_alpha 78.68
_cell_angle_beta 70.94
_cell_angle_gamma 75.20
_symmetry_space_group_name_H-M 'P -1'
_symmetry_Int_Tables_number 2
loop_
_symmetry_equiv_pos_as_xyz
'x,y,z'
'-x,-y,-z'
loop_
_atom_site_label
_atom_site_type_symbol
_atom_site_fract_x
_atom_site_fract_y
_atom_site_fract_z
Ta1 Ta 0.028 0.239 0.006
Tl1 Tl 0.362 0.592 0.299
Ge1 Ge 0.290 0.022 0.622
S1 S 0.116 0.311 0.708
S2 S 0.119 0.778 0.702
S3 S 0.241 0.438 0.027
S4 S 0.253 0.929 0.997
S5 S 0.385 0.067 0.352
```


Simulated powder diffraction line list of ZrScGe4 for Cu Kα (λ = 1.5418 Å), from a crystal structure in OQMD, relaxed with GGA-PBE.
Neutral-atom scattering factors, no anomalous dispersion.

Main lines, low angle first (15 to 90 degrees two-theta):
d/Å	I (rel.)	index
2.529	18.8	0 0 6
2.387	100.0	1 1 3
1.925	14.3	0 2 0
1.905	13.8	2 0 0
1.182	10.0	1 3 3
1.173	9.5	3 1 3

Cell and atoms:
```
data_ZrScGe4
_chemical_formula_sum 'Zr2 Sc2 Ge8'
_cell_length_a 3.809
_cell_length_b 3.850
_cell_length_c 15.174
_cell_angle_alpha 90.00
_cell_angle_beta 90.00
_cell_angle_gamma 90.00
_symmetry_space_group_name_H-M 'A m m 2'
_symmetry_Int_Tables_number 38
loop_
_symmetry_equiv_pos_as_xyz
'x,y,z'
'-x,-y,z'
'-x,y,z'
'x,-y,z'
'x,y+1/2,z+1/2'
'-x,-y+1/2,z+1/2'
'-x,y+1/2,z+1/2'
'x,-y+1/2,z+1/2'
loop_
_atom_site_label
_atom_site_type_symbol
_atom_site_fract_x
_atom_site_fract_y
_atom_site_fract_z
Zr1 Zr 0.000 0.000 0.000
Sc1 Sc 0.500 0.000 0.791
Ge1 Ge 0.000 0.000 0.337
Ge2 Ge 0.000 0.000 0.644
Ge3 Ge 0.500 0.000 0.146
Ge4 Ge 0.500 0.000 0.452
```


Simulated powder diffraction line list of Zr2ScGe for Cu Kα (λ = 1.5418 Å), from a crystal structure in OQMD, relaxed with GGA-PBE.
Neutral-atom scattering factors, no anomalous dispersion.

Main lines, low angle first (15 to 90 degrees two-theta):
d/Å	I (rel.)	index
3.975	6.9	1 1 1
2.434	100.0	2 2 0
2.076	3.6	3 1 1
1.721	16.8	4 0 0
1.405	33.4	4 2 2
1.217	10.2	4 4 0

Cell and atoms:
```
data_Zr2ScGe
_chemical_formula_sum 'Zr8 Sc4 Ge4'
_cell_length_a 6.885
_cell_length_b 6.885
_cell_length_c 6.885
_cell_angle_alpha 90.00
_cell_angle_beta 90.00
_cell_angle_gamma 90.00
_symmetry_space_group_name_H-M 'F -4 3 m'
_symmetry_Int_Tables_number 216
_symmetry_space_group_name_Hall 'F -4 2 3'
loop_
_atom_site_label
_atom_site_type_symbol
_atom_site_fract_x
_atom_site_fract_y
_atom_site_fract_z
Zr1 Zr 0.000 0.000 0.000
Zr2 Zr 0.250 0.250 0.250
Sc1 Sc 0.250 0.250 0.750
Ge1 Ge 0.000 0.000 0.500
```


Simulated powder diffraction line list of ZrGeTe3Se for Cu Kα (λ = 1.5418 Å), from a crystal structure in OQMD, relaxed with GGA-PBE.
Neutral-atom scattering factors, no anomalous dispersion.

Main lines, low angle first (15 to 90 degrees two-theta):
d/Å	I (rel.)	index
3.327	57.2	0 4 2
3.222	68.6	1 3 0
3.094	100.0	1 3 1
2.786	56.1	1 3 2
2.774	60.1	0 0 4
2.481	81.5	1 5 1

Cell and atoms:
```
data_ZrGeTe3Se
_chemical_formula_sum 'Zr4 Ge4 Te12 Se4'
_cell_length_a 3.959
_cell_length_b 16.630
_cell_length_c 11.098
_cell_angle_alpha 90.00
_cell_angle_beta 90.00
_cell_angle_gamma 90.00
_symmetry_space_group_name_H-M 'C m c 21'
_symmetry_Int_Tables_number 36
loop_
_symmetry_equiv_pos_as_xyz
'x,y,z'
'-x,-y,z+1/2'
'-x,y,z'
'x,-y,z+1/2'
'x+1/2,y+1/2,z'
'-x+1/2,-y+1/2,z+1/2'
'-x+1/2,y+1/2,z'
'x+1/2,-y+1/2,z+1/2'
loop_
_atom_site_label
_atom_site_type_symbol
_atom_site_fract_x
_atom_site_fract_y
_atom_site_fract_z
Zr1 Zr 0.000 0.154 0.000
Ge1 Ge 0.000 0.270 0.809
Te1 Te 0.000 0.122 0.275
Te2 Te 0.000 0.222 0.575
Te3 Te 0.000 0.479 0.529
Se1 Se 0.000 0.394 0.335
```


Simulated powder diffraction line list of Zn2GeSe4 for Cu Kα (λ = 1.5418 Å), from a crystal structure in OQMD, relaxed with GGA-PBE.
Neutral-atom scattering factors, no anomalous dispersion.

Main lines, low angle first (15 to 90 degrees two-theta):
d/Å	I (rel.)	index
3.261	68.7	1 0 3
3.123	42.9	2 0 2
2.709	77.0	2 2 0
2.696	39.0	0 0 4
1.915	49.2	4 0 0
1.911	100.0	2 2 4

Cell and atoms:
```
data_Zn2GeSe4
_chemical_formula_sum 'Zn8 Ge4 Se16'
_cell_length_a 7.661
_cell_length_b 7.661
_cell_length_c 10.782
_cell_angle_alpha 90.00
_cell_angle_beta 90.00
_cell_angle_gamma 90.00
_symmetry_space_group_name_H-M 'P 41 2 2'
_symmetry_Int_Tables_number 91
loop_
_symmetry_equiv_pos_as_xyz
'x,y,z'
'-y,x,z+1/4'
'-x,-y,z+1/2'
'y,-x,z+3/4'
'x,-y,-z+1/2'
'-y,-x,-z+1/4'
'-x,y,-z'
'y,x,-z+3/4'
loop_
_atom_site_label
_atom_site_type_symbol
_atom_site_fract_x
_atom_site_fract_y
_atom_site_fract_z
Zn1 Zn 0.000 0.239 0.000
Zn2 Zn 0.258 0.258 0.375
Ge1 Ge 0.239 0.500 0.750
Se1 Se 0.014 0.254 0.754
Se2 Se 0.252 0.477 0.990
```


Simulated powder diffraction line list of ZrGe2Se for Cu Kα (λ = 1.5418 Å), from a crystal structure in OQMD, relaxed with GGA-PBE.
Neutral-atom scattering factors, no anomalous dispersion.

Main lines, low angle first (15 to 90 degrees two-theta):
d/Å	I (rel.)	index
2.644	100.0	1 0 2
2.397	11.6	1 1 2
2.181	49.5	1 2 1
1.927	21.0	2 0 0
1.843	12.0	0 2 3
1.558	12.3	2 2 1

Cell and atoms:
```
data_ZrGe2Se
_chemical_formula_sum 'Zr2 Ge4 Se2'
_cell_length_a 3.853
_cell_length_b 5.683
_cell_length_c 7.265
_cell_angle_alpha 90.00
_cell_angle_beta 90.00
_cell_angle_gamma 90.00
_symmetry_space_group_name_H-M 'P m c 21'
_symmetry_Int_Tables_number 26
loop_
_symmetry_equiv_pos_as_xyz
'x,y,z'
'-x,-y,z+1/2'
'-x,y,z'
'x,-y,z+1/2'
loop_
_atom_site_label
_atom_site_type_symbol
_atom_site_fract_x
_atom_site_fract_y
_atom_site_fract_z
Zr1 Zr 0.000 0.130 0.000
Ge1 Ge 0.000 0.350 0.590
Ge2 Ge 0.500 0.122 0.292
Se1 Se 0.500 0.416 0.838
```